Diffraction record for BaSrYCu3PbO7. The X-ray powder pattern is calculated, not measured: it uses a PBE-relaxed structure and Cu Kα (λ = 1.5418 Å).

Largest 8 diffraction maxima, in order of rising 2θ, 10 to 90 degrees two-theta:
two_theta	d (Å)	Rel. int.
28.1	3.174	30.4
32.0	2.801	35.9
32.2	2.780	71.9
32.3	2.771	36.7
32.8	2.728	100.0
47.0	1.933	24.2
47.2	1.925	24.9
58.4	1.581	27.5

Cell and atoms:
Cell lengths 14.306, 14.306, 3.866 Å; angles 97.14, 97.14, 15.46 degrees
Element x y z (fractional)
Ba  0.000  0.000  0.000
Sr  0.743  0.743  0.750
Y  0.869  0.869  0.879
Cu  0.161  0.161  0.137
Cu  0.309  0.309  0.320
Cu  0.427  0.427  0.435
Pb  0.599  0.599  0.606
O  0.096  0.096  0.004
O  0.225  0.225  0.257
O  0.316  0.316  0.827
O  0.419  0.419  0.928
O  0.520  0.520  0.513
O  0.816  0.816  0.328
O  0.919  0.919  0.428